Calculated powder diffraction line list of CeEr6Tm12 for a wavelength of 1.5418 Å, from DFT lattice parameters and positions (PBE).
Intensities are scaled so that the largest is 100.

Cell and atoms:
```
data_CeEr6Tm12
_chemical_formula_sum 'Ce1 Er6 Tm12'
_cell_length_a 8.392
_cell_length_b 8.392
_cell_length_c 8.392
_cell_angle_alpha 88.25
_cell_angle_beta 88.25
_cell_angle_gamma 88.25
_symmetry_space_group_name_H-M 'P 1'
_symmetry_Int_Tables_number 1
loop_
_symmetry_equiv_pos_as_xyz
'x,y,z'
loop_
_atom_site_label
_atom_site_type_symbol
_atom_site_fract_x
_atom_site_fract_y
_atom_site_fract_z
Ce1 Ce 0.000 0.000 0.000
Er1 Er 0.091 0.688 0.256
Er2 Er 0.256 0.091 0.688
Er3 Er 0.312 0.744 0.909
Er4 Er 0.688 0.256 0.091
Er5 Er 0.744 0.909 0.312
Er6 Er 0.909 0.312 0.744
Tm1 Tm 0.009 0.210 0.352
Tm2 Tm 0.210 0.352 0.009
Tm3 Tm 0.226 0.456 0.563
Tm4 Tm 0.352 0.009 0.210
Tm5 Tm 0.437 0.774 0.544
Tm6 Tm 0.456 0.563 0.226
Tm7 Tm 0.544 0.437 0.774
Tm8 Tm 0.563 0.226 0.456
Tm9 Tm 0.648 0.991 0.790
Tm10 Tm 0.774 0.544 0.437
Tm11 Tm 0.790 0.648 0.991
Tm12 Tm 0.991 0.790 0.648
```

Peak list (6 most intense, 2θ = 10–90°, most intense first)
d/Å, I_rel
2.759, 100
2.675, 68
2.872, 42
2.628, 26
2.795, 23
1.621, 18

Calculated powder diffraction line list of CeEr5Tm2 for a wavelength of 1.5418 Å, from DFT lattice parameters and positions (PBE).
Intensities are scaled so that the largest is 100.

Cell and atoms:
```
data_CeEr5Tm2
_chemical_formula_sum 'Ce1 Er5 Tm2'
_cell_length_a 8.330
_cell_length_b 7.127
_cell_length_c 6.633
_cell_angle_alpha 74.42
_cell_angle_beta 55.49
_cell_angle_gamma 50.09
_symmetry_space_group_name_H-M 'P 1'
_symmetry_Int_Tables_number 1
loop_
_symmetry_equiv_pos_as_xyz
'x,y,z'
loop_
_atom_site_label
_atom_site_type_symbol
_atom_site_fract_x
_atom_site_fract_y
_atom_site_fract_z
Ce1 Ce 0.000 0.000 0.000
Er1 Er 0.000 0.503 0.000
Er2 Er 0.083 0.083 0.417
Er3 Er 0.502 0.502 0.498
Er4 Er 0.503 0.000 0.497
Er5 Er 0.583 0.583 0.917
Tm1 Tm 0.086 0.586 0.414
Tm2 Tm 0.586 0.086 0.914
```

Peak list (6 most intense, 2θ = 10–90°, most intense first)
d/Å, I_rel
2.702, 100
2.797, 24
3.086, 24
1.503, 22
1.596, 21
1.782, 20

Calculated powder diffraction line list of CeEr6Tm2 for a wavelength of 1.5418 Å, from DFT lattice parameters and positions (PBE).
Intensities are scaled so that the largest is 100.

Cell and atoms:
```
data_CeEr6Tm2
_chemical_formula_sum 'Ce2 Er12 Tm4'
_cell_length_a 6.491
_cell_length_b 6.491
_cell_length_c 13.152
_cell_angle_alpha 95.56
_cell_angle_beta 95.56
_cell_angle_gamma 94.51
_symmetry_space_group_name_H-M 'P 1'
_symmetry_Int_Tables_number 1
loop_
_symmetry_equiv_pos_as_xyz
'x,y,z'
loop_
_atom_site_label
_atom_site_type_symbol
_atom_site_fract_x
_atom_site_fract_y
_atom_site_fract_z
Ce1 Ce 0.001 0.999 0.750
Ce2 Ce 0.999 0.001 0.250
Er1 Er 0.160 0.823 0.510
Er2 Er 0.177 0.840 0.990
Er3 Er 0.178 0.511 0.157
Er4 Er 0.329 0.330 0.915
Er5 Er 0.330 0.329 0.415
Er6 Er 0.489 0.822 0.343
Er7 Er 0.511 0.178 0.657
Er8 Er 0.670 0.671 0.585
Er9 Er 0.671 0.670 0.085
Er10 Er 0.822 0.489 0.843
Er11 Er 0.823 0.160 0.010
Er12 Er 0.840 0.177 0.490
Tm1 Tm 0.155 0.491 0.676
Tm2 Tm 0.491 0.155 0.176
Tm3 Tm 0.509 0.845 0.824
Tm4 Tm 0.845 0.509 0.324
```

Peak list (6 most intense, 2θ = 10–90°, most intense first)
d/Å, I_rel
2.767, 100
2.784, 60
2.807, 33
1.613, 17
1.975, 11
1.969, 11

Calculated powder diffraction line list of CeYEr2Tm for a wavelength of 1.5418 Å, from DFT lattice parameters and positions (PBE).
Intensities are scaled so that the largest is 100.

Cell and atoms:
```
data_CeYEr2Tm
_chemical_formula_sum 'Ce2 Y2 Er4 Tm2'
_cell_length_a 5.786
_cell_length_b 7.468
_cell_length_c 7.335
_cell_angle_alpha 90.00
_cell_angle_beta 90.00
_cell_angle_gamma 90.00
_symmetry_space_group_name_H-M 'P 1'
_symmetry_Int_Tables_number 1
loop_
_symmetry_equiv_pos_as_xyz
'x,y,z'
loop_
_atom_site_label
_atom_site_type_symbol
_atom_site_fract_x
_atom_site_fract_y
_atom_site_fract_z
Ce1 Ce 0.000 0.000 0.000
Ce2 Ce 0.500 0.000 0.000
Y1 Y 0.250 0.500 0.157
Y2 Y 0.750 0.500 0.843
Er1 Er 0.250 0.289 0.674
Er2 Er 0.250 0.711 0.674
Er3 Er 0.750 0.289 0.326
Er4 Er 0.750 0.711 0.326
Tm1 Tm 0.250 0.000 0.380
Tm2 Tm 0.750 0.000 0.620
```

Peak list (6 most intense, 2θ = 10–90°, most intense first)
d/Å, I_rel
2.886, 100
2.861, 38
1.669, 31
2.692, 25
2.384, 24
2.532, 21

Calculated powder diffraction line list of CeYErTm2 for a wavelength of 1.5418 Å, from DFT lattice parameters and positions (PBE).
Intensities are scaled so that the largest is 100.

Cell and atoms:
```
data_CeYErTm2
_chemical_formula_sum 'Ce2 Y2 Er2 Tm4'
_cell_length_a 5.735
_cell_length_b 7.431
_cell_length_c 7.404
_cell_angle_alpha 90.00
_cell_angle_beta 90.00
_cell_angle_gamma 90.00
_symmetry_space_group_name_H-M 'P 1'
_symmetry_Int_Tables_number 1
loop_
_symmetry_equiv_pos_as_xyz
'x,y,z'
loop_
_atom_site_label
_atom_site_type_symbol
_atom_site_fract_x
_atom_site_fract_y
_atom_site_fract_z
Ce1 Ce 0.000 0.000 0.000
Ce2 Ce 0.500 0.000 0.000
Y1 Y 0.250 0.500 0.156
Y2 Y 0.750 0.500 0.844
Er1 Er 0.250 0.000 0.377
Er2 Er 0.750 0.000 0.623
Tm1 Tm 0.250 0.288 0.672
Tm2 Tm 0.250 0.712 0.672
Tm3 Tm 0.750 0.288 0.328
Tm4 Tm 0.750 0.712 0.328
```

Peak list (6 most intense, 2θ = 10–90°, most intense first)
d/Å, I_rel
2.872, 100
3.317, 19
2.385, 18
2.674, 18
1.657, 17
7.423, 16

Calculated powder diffraction line list of CeY8Er6 for a wavelength of 1.5418 Å, from DFT lattice parameters and positions (PBE).
Intensities are scaled so that the largest is 100.

Cell and atoms:
```
data_CeY8Er6
_chemical_formula_sum 'Ce1 Y8 Er6'
_cell_length_a 9.379
_cell_length_b 9.379
_cell_length_c 6.574
_cell_angle_alpha 90.00
_cell_angle_beta 90.00
_cell_angle_gamma 120.00
_symmetry_space_group_name_H-M 'P 1'
_symmetry_Int_Tables_number 1
loop_
_symmetry_equiv_pos_as_xyz
'x,y,z'
loop_
_atom_site_label
_atom_site_type_symbol
_atom_site_fract_x
_atom_site_fract_y
_atom_site_fract_z
Ce1 Ce 0.000 0.000 0.000
Y1 Y 0.028 0.689 0.601
Y2 Y 0.311 0.339 0.601
Y3 Y 0.333 0.667 0.313
Y4 Y 0.339 0.028 0.399
Y5 Y 0.661 0.972 0.601
Y6 Y 0.667 0.333 0.687
Y7 Y 0.689 0.661 0.399
Y8 Y 0.972 0.311 0.399
Er1 Er 0.085 0.407 0.906
Er2 Er 0.322 0.915 0.906
Er3 Er 0.407 0.322 0.094
Er4 Er 0.593 0.678 0.906
Er5 Er 0.678 0.085 0.094
Er6 Er 0.915 0.593 0.094
```

Peak list (6 most intense, 2θ = 10–90°, most intense first)
d/Å, I_rel
2.782, 100
2.692, 96
2.708, 60
3.455, 37
3.070, 31
1.793, 29

What did the second record say?
Calculated powder diffraction line list of CeEr5Tm2 for a wavelength of 1.5418 Å, from DFT lattice parameters and positions (PBE).
Intensities are scaled so that the largest is 100.

Cell and atoms:
```
data_CeEr5Tm2
_chemical_formula_sum 'Ce1 Er5 Tm2'
_cell_length_a 8.330
_cell_length_b 7.127
_cell_length_c 6.633
_cell_angle_alpha 74.42
_cell_angle_beta 55.49
_cell_angle_gamma 50.09
_symmetry_space_group_name_H-M 'P 1'
_symmetry_Int_Tables_number 1
loop_
_symmetry_equiv_pos_as_xyz
'x,y,z'
loop_
_atom_site_label
_atom_site_type_symbol
_atom_site_fract_x
_atom_site_fract_y
_atom_site_fract_z
Ce1 Ce 0.000 0.000 0.000
Er1 Er 0.000 0.503 0.000
Er2 Er 0.083 0.083 0.417
Er3 Er 0.502 0.502 0.498
Er4 Er 0.503 0.000 0.497
Er5 Er 0.583 0.583 0.917
Tm1 Tm 0.086 0.586 0.414
Tm2 Tm 0.586 0.086 0.914
```

Peak list (6 most intense, 2θ = 10–90°, most intense first)
d/Å, I_rel
2.702, 100
2.797, 24
3.086, 24
1.503, 22
1.596, 21
1.782, 20

Which formula does entry 4 have?
CeYEr2Tm